Starting from a DFT-relaxed cell (PBE, OQMD), the powder diffraction line list of Gd2Y2CF5 was simulated for Cu Kα (weighted mean of Kα1 and Kα2).
Neutral-atom scattering factors, no anomalous dispersion.

Peak list (10 most intense, 2θ from 10° to 90°, by angle)
hkl 2 0 0, 2θ 13.4, I 84.3; hkl 1 1 0, 2θ 26.7, I 72.0; hkl 0 0 2, 2θ 29.2, I 63.0; hkl 4 0 -2, 2θ 29.9, I 57.3; hkl 3 1 0, 2θ 32.9, I 97.5; hkl 1 1 -2, 2θ 37.6, I 93.8; hkl 3 1 -2, 2θ 37.9, I 100.0; hkl 6 0 0, 2θ 41.0, I 59.1; hkl 3 1 2, 2θ 50.6, I 65.2; hkl 7 1 -2, 2θ 51.7, I 57.1

Structure:
```
data_Gd2Y2CF5
_symmetry_space_group_name_H-M 'C 1 2/m 1'
_symmetry_Int_Tables_number 12
_cell_length_a 14.683
_cell_length_b 3.458
_cell_length_c 6.807
_cell_angle_alpha 90.00
_cell_angle_beta 115.92
_cell_angle_gamma 90.00
loop_
_symmetry_equiv_pos_as_xyz
'x,y,z'
'-x,-y,-z'
'-x,y,-z'
'x,-y,z'
'x+1/2,y+1/2,z'
'-x+1/2,-y+1/2,-z'
'-x+1/2,y+1/2,-z'
'x+1/2,-y+1/2,z'
loop_
_atom_site_label
_atom_site_type_symbol
_atom_site_fract_x
_atom_site_fract_y
_atom_site_fract_z
_atom_site_occupancy
Gd1 Gd 0.002 0.000 0.261 1
Y1 Y 0.185 0.500 0.688 1
C1 C 0.000 0.500 0.500 1
F1 F 0.000 0.500 0.000 1
F2 F 0.173 0.000 0.955 1
F3 F 0.176 0.000 0.399 1
```


Starting from a DFT-relaxed cell (PBE, OQMD), the powder diffraction line list of HgH4C2S2O8F6 was simulated for Cu Kα (weighted mean of Kα1 and Kα2).
Neutral-atom scattering factors, no anomalous dispersion.

Peak list (10 most intense, 2θ from 10° to 90°, by angle)
hkl 0 0 1, 2θ 10.3, I 100.0; hkl 1 -1 0, 2θ 15.9, I 36.5; hkl 1 -1 1, 2θ 18.9, I 64.4; hkl 1 1 1, 2θ 22.9, I 42.5; hkl 0 2 0, 2θ 23.9, I 75.1; hkl 2 0 -1, 2θ 24.7, I 42.8; hkl 1 -1 2, 2θ 26.1, I 47.6; hkl 0 2 1, 2θ 27.8, I 26.5; hkl 1 -1 3, 2θ 35.0, I 30.4; hkl 1 -3 2, 2θ 40.0, I 21.6

Structure:
```
data_HgH4C2S2O8F6
_symmetry_space_group_name_H-M 'P -1'
_symmetry_Int_Tables_number 2
_cell_length_a 7.474
_cell_length_b 7.621
_cell_length_c 8.905
_cell_angle_alpha 99.84
_cell_angle_beta 99.30
_cell_angle_gamma 95.53
loop_
_symmetry_equiv_pos_as_xyz
'x,y,z'
'-x,-y,-z'
loop_
_atom_site_label
_atom_site_type_symbol
_atom_site_fract_x
_atom_site_fract_y
_atom_site_fract_z
_atom_site_occupancy
Hg1 Hg 0.221 0.240 0.012 1
H1 H 0.051 0.758 0.211 1
H2 H 0.068 0.433 0.813 1
H3 H 0.311 0.048 0.225 1
H4 H 0.490 0.176 0.209 1
C1 C 0.076 0.782 0.584 1
C2 C 0.491 0.647 0.354 1
S1 S 0.121 0.783 0.793 1
S2 S 0.400 0.732 0.179 1
O1 O 0.006 0.623 0.811 1
O2 O 0.052 0.946 0.859 1
O3 O 0.079 0.301 0.804 1
O4 O 0.256 0.839 0.228 1
O5 O 0.315 0.778 0.834 1
O6 O 0.331 0.572 0.064 1
O7 O 0.358 0.174 0.219 1
O8 O 0.448 0.151 0.848 1
F1 F 0.103 0.213 0.460 1
F2 F 0.125 0.633 0.505 1
F3 F 0.174 0.926 0.555 1
F4 F 0.356 0.425 0.667 1
F5 F 0.368 0.519 0.377 1
F6 F 0.473 0.217 0.523 1
```


Starting from a DFT-relaxed cell (PBE, OQMD), the powder diffraction line list of H12OsC4NO4F was simulated for Cu Kα (weighted mean of Kα1 and Kα2).
Neutral-atom scattering factors, no anomalous dispersion.

Peak list (10 most intense, 2θ from 10° to 90°, by angle)
hkl 1 0 0, 2θ 12.7, I 69.2; hkl 0 2 0, 2θ 15.9, I 64.6; hkl 0 0 2, 2θ 17.0, I 56.0; hkl 1 2 0, 2θ 20.4, I 100.0; hkl 1 0 2, 2θ 21.3, I 88.4; hkl 0 2 2, 2θ 23.3, I 88.4; hkl 1 2 2, 2θ 26.7, I 43.2; hkl 2 2 2, 2θ 34.9, I 25.1; hkl 1 4 2, 2θ 38.9, I 27.2; hkl 4 1 1, 2θ 54.1, I 22.7

Structure:
```
data_H12OsC4NO4F
_symmetry_space_group_name_H-M 'A e m 2'
_symmetry_Int_Tables_number 39
_cell_length_a 6.962
_cell_length_b 11.135
_cell_length_c 10.457
_cell_angle_alpha 90.00
_cell_angle_beta 90.00
_cell_angle_gamma 90.00
loop_
_symmetry_equiv_pos_as_xyz
'x,y,z'
'-x,-y,z'
'-x,y+1/2,z'
'x,-y+1/2,z'
'x,y+1/2,z+1/2'
'-x,-y+1/2,z+1/2'
'-x,y,z+1/2'
'x,-y,z+1/2'
loop_
_atom_site_label
_atom_site_type_symbol
_atom_site_fract_x
_atom_site_fract_y
_atom_site_fract_z
_atom_site_occupancy
H1 H 0.013 0.136 0.000 1
H2 H 0.046 0.136 0.221 1
H3 H 0.193 0.144 0.877 1
H4 H 0.210 0.010 0.214 1
H5 H 0.211 0.032 0.999 1
H6 H 0.234 0.119 0.338 1
Os1 Os 0.459 0.250 0.612 1
C1 C 0.112 0.084 0.940 1
C2 C 0.132 0.072 0.276 1
N1 N 0.000 0.000 0.358 1
O1 O 0.292 0.250 0.100 1
O2 O 0.400 0.250 0.450 1
O3 O 0.428 0.117 0.695 1
F1 F 0.154 0.250 0.629 1
```


Starting from a DFT-relaxed cell (PBE, OQMD), the powder diffraction line list of ReH11C7NO4F was simulated for Cu Kα (weighted mean of Kα1 and Kα2).
Neutral-atom scattering factors, no anomalous dispersion.

Peak list (10 most intense, 2θ from 10° to 90°, by angle)
hkl 0 1 1, 2θ 14.1, I 96.2; hkl 1 0 0, 2θ 15.8, I 35.6; hkl 0 0 2, 2θ 20.0, I 98.5; hkl 1 1 -1, 2θ 20.9, I 92.0; hkl 1 1 1, 2θ 21.5, I 100.0; hkl 1 2 0, 2θ 25.5, I 39.8; hkl 0 2 2, 2θ 28.4, I 31.4; hkl 2 0 0, 2θ 31.8, I 57.0; hkl 1 2 -2, 2θ 32.2, I 23.5; hkl 1 2 2, 2θ 33.0, I 19.6

Structure:
```
data_ReH11C7NO4F
_symmetry_space_group_name_H-M 'P 1 21 1'
_symmetry_Int_Tables_number 4
_cell_length_a 5.624
_cell_length_b 8.899
_cell_length_c 8.905
_cell_angle_alpha 90.00
_cell_angle_beta 92.21
_cell_angle_gamma 90.00
loop_
_symmetry_equiv_pos_as_xyz
'x,y,z'
'-x,y+1/2,-z'
loop_
_atom_site_label
_atom_site_type_symbol
_atom_site_fract_x
_atom_site_fract_y
_atom_site_fract_z
_atom_site_occupancy
Re1 Re 0.004 0.000 0.228 1
H1 H 0.058 0.879 0.796 1
H2 H 0.084 0.897 0.599 1
H3 H 0.117 0.139 0.825 1
H4 H 0.134 0.154 0.625 1
H5 H 0.261 0.597 0.092 1
H6 H 0.302 0.646 0.446 1
H7 H 0.305 0.333 0.100 1
H8 H 0.403 0.851 0.966 1
H9 H 0.407 0.727 0.707 1
H10 H 0.447 0.109 0.980 1
H11 H 0.485 0.246 0.751 1
C1 C 0.169 0.924 0.708 1
C2 C 0.199 0.094 0.725 1
C3 C 0.406 0.570 0.380 1
C4 C 0.417 0.849 0.723 1
C5 C 0.434 0.422 0.389 1
C6 C 0.446 0.561 0.108 1
C7 C 0.476 0.390 0.120 1
N1 N 0.462 0.130 0.745 1
O1 O 0.004 0.608 0.608 1
O2 O 0.078 0.116 0.077 1
O3 O 0.214 0.856 0.253 1
O4 O 0.278 0.423 0.811 1
F1 F 0.331 0.338 0.495 1
```


Starting from a DFT-relaxed cell (PBE, OQMD), the powder diffraction line list of H24OsC8N2F6 was simulated for Cu Kα (weighted mean of Kα1 and Kα2).
Neutral-atom scattering factors, no anomalous dispersion.

Peak list (10 most intense, 2θ from 10° to 90°, by angle)
hkl 0 0 3, 2θ 13.8, I 33.3; hkl 1 0 1, 2θ 14.0, I 100.0; hkl 0 1 2, 2θ 16.1, I 27.1; hkl 1 0 4, 2θ 22.7, I 34.8; hkl 1 1 0, 2θ 22.9, I 33.3; hkl 0 1 5, 2θ 26.7, I 17.9; hkl 1 1 3, 2θ 26.9, I 52.7; hkl 0 2 4, 2θ 32.5, I 14.1; hkl 1 1 6, 2θ 36.3, I 14.6; hkl 2 2 3, 2θ 49.1, I 14.9

Structure:
```
data_H24OsC8N2F6
_symmetry_space_group_name_H-M 'R -3'
_symmetry_Int_Tables_number 148
_symmetry_space_group_name_Hall '-R 3'
_cell_length_a 7.7515
_cell_length_b 7.7515
_cell_length_c 19.2515
_cell_angle_alpha 90.00
_cell_angle_beta 90.00
_cell_angle_gamma 120.00
loop_
_atom_site_label
_atom_site_type_symbol
_atom_site_fract_x
_atom_site_fract_y
_atom_site_fract_z
_atom_site_occupancy
H1 H 0.0156 0.2794 0.2584 1
H2 H 0.0355 0.4350 0.4107 1
H3 H 0.0604 0.9067 0.1555 1
H4 H 0.0837 0.8786 0.6665 1
Os1 Os 0.0000 0.0000 0.5000 1
C1 C 0.0000 0.0000 0.1733 1
C2 C 0.0810 0.8732 0.7234 1
N1 N 0.0000 0.0000 0.2509 1
F1 F 0.0908 0.8545 0.5595 1
```


Starting from a DFT-relaxed cell (PBE, OQMD), the powder diffraction line list of NbH12C10S4OF4 was simulated for Cu Kα (weighted mean of Kα1 and Kα2).
Neutral-atom scattering factors, no anomalous dispersion.

Peak list (10 most intense, 2θ from 10° to 90°, by angle)
hkl 0 1 1, 2θ 13.0, I 83.0; hkl 0 0 2, 2θ 14.5, I 30.9; hkl 0 1 -1, 2θ 15.1, I 93.7; hkl 0 1 2, 2θ 17.2, I 51.0; hkl 1 0 0, 2θ 23.1, I 28.0; hkl 1 0 -1, 2θ 24.3, I 34.2; hkl 1 1 1, 2θ 26.5, I 100.0; hkl 1 0 2, 2θ 27.2, I 55.9; hkl 0 3 3, 2θ 39.6, I 25.4; hkl 0 1 -5, 2θ 41.0, I 25.8

Structure:
```
data_NbH12C10S4OF4
_symmetry_space_group_name_H-M 'P -1'
_symmetry_Int_Tables_number 2
_cell_length_a 3.859
_cell_length_b 7.467
_cell_length_c 12.361
_cell_angle_alpha 80.17
_cell_angle_beta 89.03
_cell_angle_gamma 89.95
loop_
_symmetry_equiv_pos_as_xyz
'x,y,z'
'-x,-y,-z'
loop_
_atom_site_label
_atom_site_type_symbol
_atom_site_fract_x
_atom_site_fract_y
_atom_site_fract_z
_atom_site_occupancy
Nb1 Nb 0.000 0.000 0.000 1
H1 H 0.234 0.557 0.096 1
H2 H 0.258 0.025 0.263 1
H3 H 0.369 0.853 0.792 1
H4 H 0.370 0.972 0.654 1
H5 H 0.371 0.371 0.855 1
H6 H 0.413 0.597 0.883 1
C1 C 0.079 0.470 0.456 1
C2 C 0.333 0.450 0.264 1
C3 C 0.341 0.276 0.322 1
C4 C 0.454 0.512 0.149 1
C5 C 0.472 0.111 0.283 1
S1 S 0.174 0.615 0.335 1
S2 S 0.186 0.246 0.456 1
O1 O 0.500 0.000 0.000 1
F1 F 0.000 0.231 0.056 1
F2 F 0.010 0.134 0.848 1
```